Record 1
For Rb2TlCrF6, a structure optimized by DFT (PBE+U) gives the calculated X-ray diffraction stick pattern in this record (Cu Kα X-rays).

Top 6 peaks for 2θ = 10–80°, low angle first:
d = 3.244 Å, intensity 100
d = 2.294 Å, intensity 34
d = 1.873 Å, intensity 39
d = 1.622 Å, intensity 21
d = 1.451 Å, intensity 21
d = 1.226 Å, intensity 22

a = 6.4879 Å, b = 6.4879 Å, c = 6.4879 Å
α = 60.00°, β = 60.00°, γ = 60.00°
Fractional positions:
Rb (0.2500, 0.2500, 0.2500)
Rb (0.7500, 0.7500, 0.7500)
Tl (0.0000, 0.0000, 0.0000)
Cr (0.5000, 0.5000, 0.5000)
F (0.2885, 0.2885, 0.7115)
F (0.2885, 0.7115, 0.2885)
F (0.2885, 0.7115, 0.7115)
F (0.7115, 0.2885, 0.2885)
F (0.7115, 0.2885, 0.7115)
F (0.7115, 0.7115, 0.2885)

=====

Record 2
For Li2FeCo3O8, a structure optimized by DFT (PBE+U) gives the calculated X-ray diffraction stick pattern in this record (Cu Kα X-rays).

Top 6 peaks for 2θ = 10–80°, low angle first:
d = 4.792 Å, intensity 48
d = 4.696 Å, intensity 100
d = 2.463 Å, intensity 23
d = 2.454 Å, intensity 24
d = 2.046 Å, intensity 51
d = 2.038 Å, intensity 25

a = 5.8259 Å, b = 5.8259 Å, c = 9.9098 Å
α = 106.40°, β = 106.40°, γ = 59.17°
Fractional positions:
Li (0.0654, 0.0654, 0.1850)
Li (0.4339, 0.4339, 0.3144)
Li (0.5661, 0.5661, 0.6856)
Li (0.9346, 0.9346, 0.8150)
Fe (0.0000, 0.0000, 0.5000)
Fe (0.5000, 0.5000, 0.0000)
Co (0.0000, 0.5000, 0.0000)
Co (0.0000, 0.5000, 0.5000)
Co (0.2501, 0.2501, 0.7499)
Co (0.5000, 0.0000, 0.0000)
Co (0.5000, 0.0000, 0.5000)
Co (0.7499, 0.7499, 0.2501)
O (0.0890, 0.6306, 0.3797)
O (0.1329, 0.5890, 0.8812)
O (0.1429, 0.1429, 0.3948)
O (0.1458, 0.1458, 0.8819)
O (0.3542, 0.3542, 0.6173)
O (0.3560, 0.3560, 0.1049)
O (0.3694, 0.9110, 0.6203)
O (0.4110, 0.8671, 0.1188)
O (0.5890, 0.1329, 0.8812)
O (0.6306, 0.0890, 0.3797)
O (0.6440, 0.6440, 0.8951)
O (0.6458, 0.6458, 0.3827)
O (0.8542, 0.8542, 0.1181)
O (0.8571, 0.8571, 0.6052)
O (0.8671, 0.4110, 0.1188)
O (0.9110, 0.3694, 0.6203)

=====

Record 3
For Sr2ZnWO6, a structure optimized by DFT (PBE+U) gives the calculated X-ray diffraction stick pattern in this record (Cu Kα X-rays).

Top 6 peaks for 2θ = 10–80°, low angle first:
d = 4.656 Å, intensity 19
d = 2.851 Å, intensity 100
d = 2.431 Å, intensity 10
d = 2.016 Å, intensity 30
d = 1.646 Å, intensity 38
d = 1.425 Å, intensity 17

a = 8.0577 Å, b = 8.0626 Å, c = 8.0711 Å
α = 90.01°, β = 90.06°, γ = 90.00°
Fractional positions:
Sr (0.2494, 0.0088, 0.4870)
Sr (0.2505, 0.5086, 0.4903)
Sr (0.2504, 0.5091, 0.9867)
Sr (0.2510, 0.0176, 0.9909)
Sr (0.7490, 0.9824, 0.0091)
Sr (0.7496, 0.4909, 0.0133)
Sr (0.7495, 0.4914, 0.5097)
Sr (0.7506, 0.9912, 0.5130)
Zn (0.9998, 0.2485, 0.2486)
Zn (0.0002, 0.7515, 0.7514)
Zn (0.4990, 0.7486, 0.2506)
Zn (0.5010, 0.2514, 0.7494)
W (0.0003, 0.2523, 0.7496)
W (0.9997, 0.7477, 0.2504)
W (0.4984, 0.7517, 0.7506)
W (0.5016, 0.2483, 0.2494)
O (0.0277, 0.7784, 0.4903)
O (0.0304, 0.2804, 0.9885)
O (0.0323, 0.9864, 0.2184)
O (0.0331, 0.4906, 0.7197)
O (0.2394, 0.2174, 0.7247)
O (0.2388, 0.7104, 0.2290)
O (0.2599, 0.7799, 0.7852)
O (0.2619, 0.2724, 0.2816)
O (0.4668, 0.5125, 0.7255)
O (0.4682, 0.7768, 0.5111)
O (0.4700, 0.0090, 0.2246)
O (0.4703, 0.2773, 0.0098)
O (0.5297, 0.7227, 0.9902)
O (0.5300, 0.9910, 0.7754)
O (0.5318, 0.2232, 0.4889)
O (0.5332, 0.4875, 0.2745)
O (0.7381, 0.7276, 0.7184)
O (0.7401, 0.2201, 0.2148)
O (0.7612, 0.2896, 0.7710)
O (0.7606, 0.7826, 0.2753)
O (0.9669, 0.5094, 0.2803)
O (0.9677, 0.0136, 0.7816)
O (0.9696, 0.7196, 0.0115)
O (0.9723, 0.2216, 0.5097)

=====

Record 4
For Li7Mn5O12, a structure optimized by DFT (PBE+U) gives the calculated X-ray diffraction stick pattern in this record (Cu Kα X-rays).

Top 6 peaks for 2θ = 10–80°, low angle first:
d = 4.842 Å, intensity 100
d = 2.626 Å, intensity 16
d = 2.204 Å, intensity 35
d = 2.050 Å, intensity 28
d = 2.031 Å, intensity 28
d = 1.501 Å, intensity 16

a = 6.4535 Å, b = 7.6489 Å, c = 9.2840 Å
α = 88.89°, β = 81.98°, γ = 76.24°
Fractional positions:
Li (0.0000, 0.0000, 0.0000)
Li (0.0514, 0.1569, 0.5472)
Li (0.1261, 0.5022, 0.6229)
Li (0.2073, 0.8354, 0.7281)
Li (0.2866, 0.1630, 0.7904)
Li (0.3753, 0.5114, 0.8677)
Li (0.4440, 0.8471, 0.9594)
Li (0.4995, 0.0006, 0.5004)
Li (0.5514, 0.1569, 0.0464)
Li (0.6261, 0.5013, 0.1227)
Li (0.7081, 0.8354, 0.2282)
Li (0.7867, 0.1626, 0.2900)
Li (0.8755, 0.5121, 0.3685)
Li (0.9444, 0.8473, 0.4595)
Mn (0.0837, 0.3317, 0.0894)
Mn (0.1621, 0.6762, 0.1637)
Mn (0.2472, 0.0036, 0.2533)
Mn (0.3351, 0.3331, 0.3425)
Mn (0.4180, 0.6726, 0.4165)
Mn (0.5838, 0.3327, 0.5884)
Mn (0.6619, 0.6773, 0.6642)
Mn (0.7466, 0.0031, 0.7532)
Mn (0.8347, 0.3324, 0.8423)
Mn (0.9178, 0.6715, 0.9173)
O (0.9997, 0.0957, 0.7732)
O (0.0809, 0.2417, 0.3233)
O (0.0873, 0.4193, 0.8540)
O (0.1668, 0.5706, 0.3998)
O (0.1751, 0.7424, 0.9368)
O (0.2372, 0.9159, 0.4515)
O (0.2583, 0.0909, 0.0519)
O (0.3269, 0.2640, 0.5443)
O (0.3344, 0.4193, 0.1348)
O (0.4143, 0.5798, 0.6488)
O (0.4141, 0.7686, 0.1834)
O (0.4918, 0.9190, 0.7325)
O (0.4996, 0.0961, 0.2733)
O (0.5804, 0.2417, 0.8234)
O (0.5875, 0.4204, 0.3539)
O (0.6666, 0.5703, 0.8997)
O (0.6753, 0.7432, 0.4371)
O (0.7377, 0.9144, 0.9512)
O (0.7571, 0.0919, 0.5523)
O (0.8269, 0.2634, 0.0445)
O (0.8341, 0.4196, 0.6347)
O (0.9145, 0.5789, 0.1489)
O (0.9144, 0.7688, 0.6835)
O (0.9924, 0.9185, 0.2324)